No. 1
This entry pairs a crystal structure of BeSe with its calculated powder diffractogram. Radiation: Cu Kα. Structure: a structure optimized by DFT (PBE).

Crystal structure
a b c (Å): 9.4709 9.4709 3.6535
angles (deg): 90.00 90.00 90.00
Space group I4/m (No. 87)
One atom of each set of equivalent atoms:
Be1 0.1332 0.7059 0.0000 [8 per cell]
Se1 0.1013 0.2793 0.0000 [8 per cell]

The 10 most intense peaks (15° ≤ 2θ ≤ 90°), by intensity:
| d/Å | intensity | h k l |
| --- | --- | --- |
| 2.767 | 100 | 2 1 1 |
| 2.995 | 72 | 1 3 0 |
| 1.682 | 43 | 5 0 1 |
| 4.735 | 29 | 2 0 0 |
| 2.118 | 22 | 4 2 0 |
| 3.409 | 21 | 1 0 1 |
| 1.560 | 20 | 1 3 2 |
| 1.945 | 13 | 1 4 1 |
| 2.133 | 12 | 2 3 1 |
| 1.118 | 11 | 1 8 1 |

=====

No. 2
This entry pairs a crystal structure of PmPa2CuN4 with its calculated powder diffractogram. Radiation: Cu Kα. Structure: a structure optimized by DFT (PBE).

Crystal structure
a b c (Å): 3.5475 11.4949 11.4897
angles (deg): 90.00 90.00 90.00
Space group Cmcm (No. 63)
One atom of each set of equivalent atoms:
Pm1 0.0000 0.0987 0.2500 [4 per cell]
Pa1 0.0000 0.3707 0.0572 [8 per cell]
Cu1 0.0000 0.1706 0.7500 [4 per cell]
N1 0.0000 0.0000 0.0000 [4 per cell]
N2 0.0000 0.2688 0.6092 [8 per cell]
N3 0.0000 0.4411 0.2500 [4 per cell]

The 10 most intense peaks (15° ≤ 2θ ≤ 90°), by intensity:
| d/Å | intensity | h k l |
| --- | --- | --- |
| 3.187 | 100 | 0 2 3 |
| 2.919 | 97 | 1 1 2 |
| 2.873 | 69 | 0 4 0 |
| 2.539 | 68 | 1 3 1 |
| 2.371 | 65 | 1 3 2 |
| 1.723 | 58 | 1 3 5 |
| 1.902 | 29 | 1 1 5 |
| 1.550 | 26 | 2 2 3 |
| 1.774 | 23 | 2 0 0 |
| 2.134 | 21 | 0 2 5 |

=====

What did the first record say?
This entry pairs a crystal structure of BeSe with its calculated powder diffractogram. Radiation: Cu Kα. Structure: a structure optimized by DFT (PBE).

Crystal structure
a b c (Å): 9.4709 9.4709 3.6535
angles (deg): 90.00 90.00 90.00
Space group I4/m (No. 87)
One atom of each set of equivalent atoms:
Be1 0.1332 0.7059 0.0000 [8 per cell]
Se1 0.1013 0.2793 0.0000 [8 per cell]

The 10 most intense peaks (15° ≤ 2θ ≤ 90°), by intensity:
| d/Å | intensity | h k l |
| --- | --- | --- |
| 2.767 | 100 | 2 1 1 |
| 2.995 | 72 | 1 3 0 |
| 1.682 | 43 | 5 0 1 |
| 4.735 | 29 | 2 0 0 |
| 2.118 | 22 | 4 2 0 |
| 3.409 | 21 | 1 0 1 |
| 1.560 | 20 | 1 3 2 |
| 1.945 | 13 | 1 4 1 |
| 2.133 | 12 | 2 3 1 |
| 1.118 | 11 | 1 8 1 |